No. 1
This entry pairs a crystal structure of NpF5 with its simulated powder diffractogram. Radiation: Cu Kα X-rays. Structure: a cell relaxed with GGA-PBE.
Peak positions follow from Bragg's law for the DFT cell and can differ from measured ones.

Cell and atoms:
Cell lengths 5.5510, 5.5510, 8.9512 Å; angles 111.94, 111.94, 71.07 degrees
Sites, in units of the cell vectors:
Np 0.0000 0.0000 0.0000
Np 0.0000 0.0000 0.5000
F 0.0380 0.9620 0.7500
F 0.1329 0.3404 0.6237
F 0.2062 0.6254 0.9921
F 0.3404 0.1329 0.1237
F 0.3746 0.7938 0.5079
F 0.6254 0.2062 0.4921
F 0.6596 0.8671 0.8763
F 0.7938 0.3746 0.0079
F 0.8671 0.6596 0.3763
F 0.9620 0.0380 0.2500

Top 8 peaks for 5 to 70 degrees two-theta, by angle:
17.64°, I 100; 22.15°, I 26; 22.36°, I 31; 23.16°, I 26; 24.22°, I 44; 27.65°, I 14; 35.71°, I 15; 36.36°, I 28

No. 2
This entry pairs a crystal structure of Np3F8 with its simulated powder diffractogram. Radiation: Cu Kα X-rays. Structure: a cell relaxed with GGA-PBE.
Peak positions follow from Bragg's law for the DFT cell and can differ from measured ones.

Cell and atoms:
Cell lengths 5.7778, 5.7778, 5.7778 Å; angles 90.00, 90.00, 90.00 degrees
Sites, in units of the cell vectors:
Np 0.0000 0.0000 0.5000
Np 0.0000 0.5000 0.0000
Np 0.5000 0.0000 0.0000
F 0.2357 0.2357 0.2357
F 0.2357 0.2357 0.7643
F 0.2357 0.7643 0.2357
F 0.2357 0.7643 0.7643
F 0.7643 0.2357 0.2357
F 0.7643 0.2357 0.7643
F 0.7643 0.7643 0.2357
F 0.7643 0.7643 0.7643

Top 8 peaks for 5 to 70 degrees two-theta, by angle:
15.34°, I 35; 21.75°, I 27; 26.72°, I 100; 30.95°, I 31; 34.72°, I 15; 38.15°, I 13; 44.34°, I 58; 52.53°, I 49

No. 3
This entry pairs a crystal structure of NpF5 with its simulated powder diffractogram. Radiation: Cu Kα X-rays. Structure: a cell relaxed with GGA-PBE.
Peak positions follow from Bragg's law for the DFT cell and can differ from measured ones.

Cell and atoms:
Cell lengths 6.8724, 6.8724, 4.4960 Å; angles 90.00, 90.00, 90.00 degrees
Sites, in units of the cell vectors:
Np 0.0000 0.0000 0.0000
Np 0.5000 0.5000 0.5000
F 0.0000 0.0000 0.5000
F 0.1008 0.2756 0.0000
F 0.2244 0.6008 0.5000
F 0.2756 0.8992 0.0000
F 0.3992 0.2244 0.5000
F 0.5000 0.5000 0.0000
F 0.6008 0.7756 0.5000
F 0.7244 0.1008 0.0000
F 0.7756 0.3992 0.5000
F 0.8992 0.7244 0.0000

Top 8 peaks for 5 to 70 degrees two-theta, by angle:
18.26°, I 95; 23.65°, I 100; 25.93°, I 36; 35.38°, I 44; 41.55°, I 31; 44.39°, I 37; 52.12°, I 23; 59.12°, I 39